Diffraction record for BaFeSF2. The XRD peak list is computed, not measured: it uses a crystal structure in Alexandria, relaxed with GGA+U and Cu Kα X-rays.

Top 10 peaks for 2θ = 10–80°, low angle first:
| two_theta | d_spacing | I/Imax | index |
| --- | --- | --- | --- |
| 27.1 | 3.291 | 66 | 0 2 2 |
| 27.7 | 3.220 | 63 | 2 0 2 |
| 28.6 | 3.122 | 100 | 2 2 0 |
| 34.2 | 2.620 | 55 | 2 2 2 |
| 37.3 | 2.409 | 43 | 0 0 4 |
| 40.0 | 2.254 | 29 | 0 4 0 |
| 41.7 | 2.165 | 26 | 4 0 0 |
| 47.7 | 1.907 | 47 | 2 2 4 |
| 49.4 | 1.846 | 33 | 2 4 2 |
| 50.5 | 1.809 | 30 | 4 2 2 |

Atomic structure:
Unit cell a=8.659 b=9.014 c=9.636 alpha=90.00 beta=90.00 gamma=90.00
Space group Fmmm (No. 69)
One atom of each set of equivalent atoms:
Ba 0.000 0.000 0.245 x8
Fe 0.250 0.250 0.000 x8
S 0.250 0.250 0.250 x8
F 0.000 0.183 0.500 x8
F 0.185 0.000 0.000 x8